[1]
Diffraction record for LiTiP4O12. The powder X-ray diffraction pattern is computed, not measured: it uses a PBE-relaxed structure and Cu Kα, 1.54184 Å.
No peak broadening, texture or thermal motion is included.

Most intense lines, 15 to 90 degrees two-theta, low angle first:
Position (°2θ), I/Imax
16.3, 70
19.8, 36
21.7, 26
23.5, 57
26.0, 39
27.2, 30
27.7, 100
29.1, 30

Structural model:
Lattice parameters (Å, degrees): 6.9185 8.9612 7.1250 90.00 97.76 90.00
Space group P2_1 (No. 4)
Asymmetric unit:
Li (0.1762, 0.0000, 0.3199) [2 per cell]
Ti (0.2176, 0.7095, 0.7729) [2 per cell]
P (0.0240, 0.2105, 0.9441) [2 per cell]
P (0.0921, 0.5106, 0.3732) [2 per cell]
P (0.4243, 0.3605, 0.9301) [2 per cell]
P (0.4576, 0.6713, 0.4148) [2 per cell]
O (0.0168, 0.3587, 0.3159) [2 per cell]
O (0.0214, 0.0998, 0.1044) [2 per cell]
O (0.0451, 0.1322, 0.7470) [2 per cell]
O (0.0859, 0.5482, 0.5797) [2 per cell]
O (0.1563, 0.8047, 0.0682) [2 per cell]
O (0.2134, 0.3081, 0.9696) [2 per cell]
O (0.3057, 0.5395, 0.3160) [2 per cell]
O (0.3283, 0.7752, 0.5110) [2 per cell]
O (0.3715, 0.0992, 0.4755) [2 per cell]
O (0.4074, 0.5196, 0.8658) [2 per cell]
O (0.4455, 0.8287, 0.8862) [2 per cell]
O (0.4692, 0.2507, 0.7655) [2 per cell]


[2]
Diffraction record for CaSiN2. The powder X-ray diffraction pattern is computed, not measured: it uses a PBE-relaxed structure and Cu Kα, 1.54184 Å.
No peak broadening, texture or thermal motion is included.

Most intense lines, 15 to 90 degrees two-theta, low angle first:
Position (°2θ), I/Imax
31.9, 62
32.1, 100
32.9, 68
35.0, 24
42.9, 27
43.8, 24
46.3, 36
48.8, 22

Structural model:
Lattice parameters (Å, degrees): 5.4431 11.0463 6.8426 90.00 90.00 90.00
Space group Cmce (No. 64)
Asymmetric unit:
Ca (0.0000, 0.1759, 0.0724) [8 per cell]
Si (0.0000, 0.0617, 0.6425) [8 per cell]
N (0.0000, 0.0974, 0.3899) [8 per cell]
N (0.2500, 0.1308, 0.7500) [8 per cell]